Tb2Pm5Y12: computed PXRD pattern (Cu Kα, 1.54184 Å), based on a crystal structure in Alexandria, relaxed with GGA-PBE.

Largest 12 diffraction maxima, sorted by position, 2θ from 10° to 90°:
| (hkl) | 2θ (°) | Rel. int. |
| --- | --- | --- |
| 1 -2 1 | 27.12 | 312 |
| 0 3 2 | 28.20 | 169 |
| 2 1 1 | 30.60 | 524 |
| 1 0 -3 | 30.91 | 1000 |
| 0 3 3 | 31.42 | 811 |
| 1 -1 3 | 32.05 | 169 |
| 1 -2 2 | 32.18 | 643 |
| 1 3 0 | 33.04 | 746 |
| 1 1 4 | 33.37 | 432 |
| -2 2 1 | 35.60 | 302 |
| 2 4 4 | 50.25 | 180 |
| 0 1 7 | 58.30 | 163 |

Atomic structure:
```
data_Tb2Pm5Y12
_chemical_formula_sum 'Tb2 Pm5 Y12'
_space_group_name_H-M_alt 'P -1'
_space_group_IT_number 2
_cell_length_a 6.0817
_cell_length_b 9.7897
_cell_length_c 11.3688
_cell_angle_alpha 69.92
_cell_angle_beta 82.74
_cell_angle_gamma 88.54
loop_
_space_group_symop_operation_xyz
'x,y,z'
'-x,-y,-z'
loop_
_atom_site_label
_atom_site_type_symbol
_atom_site_fract_x
_atom_site_fract_y
_atom_site_fract_z
Tb1 Tb 0.2160 0.4308 0.0810
Pm1 Pm 0.0723 0.8174 0.0152
Pm2 Pm 0.4179 0.6881 0.4567
Pm3 Pm 0.5000 0.0000 0.5000
Y1 Y 0.0045 0.5434 0.3330
Y2 Y 0.0762 0.1786 0.3941
Y3 Y 0.1143 0.0971 0.7121
Y4 Y 0.3345 0.6844 0.7754
Y5 Y 0.3972 0.0380 0.1542
Y6 Y 0.4586 0.3159 0.8432
```